The following is a calculated powder X-ray diffraction pattern of NaLiTiAlP3O12. It was derived from a DFT-relaxed cell (PBE, Alexandria), using a wavelength of 1.5418 Å.
Lines closer than 0.1° are merged.

Cell and atoms:
a = 8.5141 Å, b = 8.5141 Å, c = 8.8097 Å
α = 119.31°, β = 119.31°, γ = 60.17°
Sites, in units of the cell vectors:
1 Na 0.2471 0.2471 0.2536
2 Na 0.7529 0.7529 0.7464
3 Li 0.4697 0.1102 0.9384
4 Li 0.8898 0.5303 0.0616
5 Ti 0.3541 0.4267 0.6789
6 Ti 0.5733 0.6459 0.3211
7 Al 0.0696 0.1368 0.8064
8 Al 0.8632 0.9304 0.1936
9 P 0.1706 0.5377 0.9959
10 P 0.2538 0.0322 0.5100
11 P 0.4623 0.8294 0.0041
12 P 0.6896 0.3104 0.5000
13 P 0.7536 0.2464 0.0000
14 P 0.9678 0.7462 0.4900
15 O 0.0078 0.9204 0.6502
16 O 0.0796 0.9922 0.3498
17 O 0.1429 0.5601 0.5076
18 O 0.1511 0.3642 0.9942
19 O 0.1855 0.5014 0.8134
20 O 0.2481 0.0802 0.7009
21 O 0.2750 0.2016 0.5069
22 O 0.2901 0.0122 0.9783
23 O 0.3531 0.5683 0.1569
24 O 0.4317 0.6469 0.8431
25 O 0.4399 0.8571 0.4924
26 O 0.4986 0.8145 0.1866
27 O 0.5083 0.3458 0.5315
28 O 0.5655 0.2687 0.8343
29 O 0.6358 0.8489 0.0058
30 O 0.6542 0.4917 0.4685
31 O 0.7047 0.1357 0.3266
32 O 0.7313 0.4345 0.1657
33 O 0.7773 0.0733 0.0341
34 O 0.7984 0.7250 0.4931
35 O 0.8643 0.2953 0.6734
36 O 0.9198 0.7519 0.2991
37 O 0.9267 0.2227 0.9659
38 O 0.9878 0.7099 0.0217

Most intense lines, 2θ from 10° to 90°, in order of rising 2θ:
2theta	I_rel
14.5	18
20.9	31
24.2	100
24.3	52
29.1	22
32.3	26
32.4	37
36.5	18